Entry 1:
# MgBi2P2O10
Theoretical powder XRD pattern, copper Kα. Input: a cell relaxed with GGA-PBE.
Neutral-atom scattering factors, no anomalous dispersion.

Cell and atoms:
```
data_MgBi2P2O10
_cell_length_a 13.7293
_cell_length_b 14.9870
_cell_length_c 8.1887
_cell_angle_alpha 90.00
_cell_angle_beta 90.00
_cell_angle_gamma 90.00
_symmetry_space_group_name_H-M 'F d d 2'
_symmetry_Int_Tables_number 43
_symmetry_space_group_name_Hall 'F 2 -2d'
loop_
_atom_site_label
_atom_site_fract_x
_atom_site_fract_y
_atom_site_fract_z
Mg1 0.0000 0.0000 0.0000
Bi1 0.1179 0.3724 0.9200
P1 0.0267 0.1895 0.0647
O1 0.0013 0.4518 0.0553
O2 0.0047 0.3930 0.6671
O3 0.0369 0.1528 0.8875
O4 0.0550 0.2378 0.5584
O5 0.1217 0.2352 0.1227
```

Largest 10 diffraction maxima, low angle first, 2θ = 10–80°:
2θ/deg	I (rel.)
13.9	86
21.8	28
23.0	57
23.7	30
28.0	100
28.6	39
32.5	27
35.5	24
44.5	27
47.1	28

=====

Entry 2:
# MgBiPO6
Theoretical powder XRD pattern, copper Kα. Input: a cell relaxed with GGA-PBE.
Neutral-atom scattering factors, no anomalous dispersion.

Cell and atoms:
```
data_MgBiPO6
_cell_length_a 6.3817
_cell_length_b 5.2603
_cell_length_c 8.0264
_cell_angle_alpha 90.00
_cell_angle_beta 110.11
_cell_angle_gamma 90.00
_symmetry_space_group_name_H-M 'P 1 21/m 1'
_symmetry_Int_Tables_number 11
loop_
_symmetry_equiv_pos_as_xyz
'x,y,z'
'-x,-y,-z'
'-x,y+1/2,-z'
'x,-y+1/2,z'
loop_
_atom_site_label
_atom_site_fract_x
_atom_site_fract_y
_atom_site_fract_z
Mg1 0.1304 0.2500 0.4152
Bi1 0.2137 0.7500 0.0432
P1 0.3710 0.7500 0.6718
O1 0.0298 0.0302 0.1732
O2 0.2138 0.5184 0.6101
O3 0.4411 0.2500 0.4032
O4 0.4758 0.7500 0.8798
```

Largest 10 diffraction maxima, low angle first, 2θ = 10–80°:
2θ/deg	I (rel.)
11.7	100
22.5	96
22.9	59
23.2	32
27.8	80
29.1	29
32.9	28
35.6	29
41.9	35
50.3	29

=====

Entry 3:
# Mg3Bi2P2O12
Theoretical powder XRD pattern, copper Kα. Input: a cell relaxed with GGA-PBE.
Neutral-atom scattering factors, no anomalous dispersion.

Cell and atoms:
```
data_Mg3Bi2P2O12
_cell_length_a 7.2355
_cell_length_b 5.3201
_cell_length_c 7.4426
_cell_angle_alpha 90.00
_cell_angle_beta 114.68
_cell_angle_gamma 90.00
_symmetry_space_group_name_H-M 'P 1 m 1'
_symmetry_Int_Tables_number 6
loop_
_symmetry_equiv_pos_as_xyz
'x,y,z'
'x,-y,z'
loop_
_atom_site_label
_atom_site_fract_x
_atom_site_fract_y
_atom_site_fract_z
Mg1 0.0000 0.0000 0.0000
Mg2 0.1963 0.5000 0.7879
Mg3 0.5737 0.5000 0.1787
Bi1 0.7069 0.5000 0.6871
Bi2 0.9329 0.0000 0.5265
P1 0.0546 0.5000 0.2623
P2 0.4569 0.0000 0.8702
O1 0.1010 0.5000 0.4865
O2 0.1442 0.2623 0.2100
O3 0.3036 0.0000 0.6483
O4 0.4151 0.2443 0.9640
O5 0.6598 0.2671 0.4187
O6 0.6774 0.0000 0.8884
O7 0.8222 0.5000 0.1336
O8 0.9771 0.2502 0.7777
```

Largest 10 diffraction maxima, low angle first, 2θ = 10–80°:
2θ/deg	I (rel.)
13.1	100
13.5	91
21.5	34
22.1	82
22.5	58
29.4	91
29.9	70
31.3	58
32.0	65
36.3	33

=====

Entry 4:
# Mg2BiPO6
Theoretical powder XRD pattern, copper Kα. Input: a cell relaxed with GGA-PBE.
Neutral-atom scattering factors, no anomalous dispersion.

Cell and atoms:
```
data_Mg2BiPO6
_cell_length_a 7.9131
_cell_length_b 12.1288
_cell_length_c 5.3214
_cell_angle_alpha 90.00
_cell_angle_beta 90.00
_cell_angle_gamma 90.00
_symmetry_space_group_name_H-M 'C m c m'
_symmetry_Int_Tables_number 63
_symmetry_space_group_name_Hall '-C 2c 2'
loop_
_atom_site_label
_atom_site_fract_x
_atom_site_fract_y
_atom_site_fract_z
Mg1 0.1956 0.0979 0.2500
Bi1 0.0000 0.4034 0.2500
P1 0.0000 0.1987 0.7500
O1 0.0000 0.1248 0.5073
O2 0.1613 0.2691 0.7500
O3 0.1725 0.5000 0.0000
```

Largest 10 diffraction maxima, low angle first, 2θ = 10–80°:
2θ/deg	I (rel.)
13.4	95
21.4	20
22.2	40
22.5	31
30.0	100
31.8	89
36.4	23
49.2	24
51.2	19
52.3	20

=====

Entry 5:
# Mg2BiSbO6
Theoretical powder XRD pattern, copper Kα. Input: a cell relaxed with GGA-PBE.
Neutral-atom scattering factors, no anomalous dispersion.

Cell and atoms:
```
data_Mg2BiSbO6
_cell_length_a 5.4312
_cell_length_b 5.4312
_cell_length_c 14.7187
_cell_angle_alpha 90.00
_cell_angle_beta 90.00
_cell_angle_gamma 120.00
_symmetry_space_group_name_H-M 'R 3'
_symmetry_Int_Tables_number 146
_symmetry_space_group_name_Hall 'R 3'
loop_
_atom_site_label
_atom_site_fract_x
_atom_site_fract_y
_atom_site_fract_z
Mg1 0.0000 0.0000 0.0000
Mg2 0.0000 0.0000 0.4888
Bi1 0.0000 0.0000 0.2133
Sb1 0.0000 0.0000 0.6953
O1 0.0127 0.3356 0.7585
O2 0.0326 0.6251 0.2693
```

Largest 10 diffraction maxima, low angle first, 2θ = 10–80°:
2θ/deg	I (rel.)
22.4	100
30.9	68
33.0	54
37.9	11
40.3	24
45.8	26
50.1	34
53.0	20
57.6	26
58.9	20

=====

Entry 6:
# Mg6SiBiO8
Theoretical powder XRD pattern, copper Kα. Input: a cell relaxed with GGA-PBE.
Neutral-atom scattering factors, no anomalous dispersion.

Cell and atoms:
```
data_Mg6SiBiO8
_cell_length_a 4.5172
_cell_length_b 4.5172
_cell_length_c 9.1033
_cell_angle_alpha 90.00
_cell_angle_beta 90.00
_cell_angle_gamma 90.00
_symmetry_space_group_name_H-M 'P 4/m m m'
_symmetry_Int_Tables_number 123
_symmetry_space_group_name_Hall '-P 4 2'
loop_
_atom_site_label
_atom_site_fract_x
_atom_site_fract_y
_atom_site_fract_z
Mg1 0.0000 0.0000 0.0000
Mg2 0.0000 0.0000 0.5000
Mg3 0.0000 0.5000 0.2416
Si1 0.5000 0.5000 0.0000
Bi1 0.5000 0.5000 0.5000
O1 0.0000 0.0000 0.2437
O2 0.0000 0.5000 0.0000
O3 0.0000 0.5000 0.5000
O4 0.5000 0.5000 0.1854
```

Largest 10 diffraction maxima, low angle first, 2θ = 10–80°:
2θ/deg	I (rel.)
19.5	43
19.7	74
22.0	90
27.8	73
29.6	46
34.3	80
35.6	43
39.6	44
39.9	100
57.5	56

=====

Entry 7:
# Mg6SnBiO8
Theoretical powder XRD pattern, copper Kα. Input: a cell relaxed with GGA-PBE.
Neutral-atom scattering factors, no anomalous dispersion.

Cell and atoms:
```
data_Mg6SnBiO8
_cell_length_a 4.6095
_cell_length_b 4.6095
_cell_length_c 9.3578
_cell_angle_alpha 90.00
_cell_angle_beta 90.00
_cell_angle_gamma 90.00
_symmetry_space_group_name_H-M 'P 4/m m m'
_symmetry_Int_Tables_number 123
_symmetry_space_group_name_Hall '-P 4 2'
loop_
_atom_site_label
_atom_site_fract_x
_atom_site_fract_y
_atom_site_fract_z
Mg1 0.0000 0.0000 0.0000
Mg2 0.0000 0.5000 0.2188
Mg3 0.5000 0.5000 0.0000
Sn1 0.0000 0.0000 0.5000
Bi1 0.5000 0.5000 0.5000
O1 0.0000 0.0000 0.2215
O2 0.0000 0.5000 0.0000
O3 0.0000 0.5000 0.5000
O4 0.5000 0.5000 0.2178
```

Largest 10 diffraction maxima, low angle first, 2θ = 10–80°:
2θ/deg	I (rel.)
19.0	67
27.4	51
28.6	42
29.0	94
33.5	96
38.5	44
39.1	100
43.8	33
49.2	38
56.0	56

=====

Entry 8:
# SrMg6BiO8
Theoretical powder XRD pattern, copper Kα. Input: a cell relaxed with GGA-PBE.
Neutral-atom scattering factors, no anomalous dispersion.

Cell and atoms:
```
data_SrMg6BiO8
_cell_length_a 4.5878
_cell_length_b 4.5878
_cell_length_c 9.6445
_cell_angle_alpha 90.00
_cell_angle_beta 90.00
_cell_angle_gamma 90.00
_symmetry_space_group_name_H-M 'P 4/m m m'
_symmetry_Int_Tables_number 123
_symmetry_space_group_name_Hall '-P 4 2'
loop_
_atom_site_label
_atom_site_fract_x
_atom_site_fract_y
_atom_site_fract_z
Sr1 0.0000 0.0000 0.0000
Mg1 0.0000 0.0000 0.5000
Mg2 0.0000 0.5000 0.2880
Mg3 0.5000 0.5000 0.5000
Bi1 0.5000 0.5000 0.0000
O1 0.0000 0.0000 0.2794
O2 0.0000 0.5000 0.0000
O3 0.0000 0.5000 0.5000
O4 0.5000 0.5000 0.2919
```

Largest 10 diffraction maxima, low angle first, 2θ = 10–80°:
2θ/deg	I (rel.)
18.4	67
21.4	35
27.5	45
27.7	47
29.0	84
33.3	90
37.3	45
39.3	100
48.8	39
55.3	54

=====

Entry 9:
# MgTaBiO5
Theoretical powder XRD pattern, copper Kα. Input: a cell relaxed with GGA-PBE.
Neutral-atom scattering factors, no anomalous dispersion.

Cell and atoms:
```
data_MgTaBiO5
_cell_length_a 5.4348
_cell_length_b 11.8160
_cell_length_c 8.4218
_cell_angle_alpha 90.00
_cell_angle_beta 112.21
_cell_angle_gamma 90.00
_symmetry_space_group_name_H-M 'P 1 21/c 1'
_symmetry_Int_Tables_number 14
loop_
_symmetry_equiv_pos_as_xyz
'x,y,z'
'-x,-y,-z'
'-x,y+1/2,-z+1/2'
'x,-y+1/2,z+1/2'
loop_
_atom_site_label
_atom_site_fract_x
_atom_site_fract_y
_atom_site_fract_z
Mg1 0.0475 0.0805 0.1676
Ta1 0.3266 0.6377 0.0365
Bi1 0.4439 0.0956 0.8368
O1 0.1757 0.7184 0.4793
O2 0.1916 0.5573 0.1815
O3 0.2542 0.0247 0.0128
O4 0.3038 0.5583 0.8359
O5 0.3291 0.1810 0.3373
```

Largest 10 diffraction maxima, low angle first, 2θ = 10–80°:
2θ/deg	I (rel.)
17.6	82
24.0	33
24.2	99
28.8	100
30.3	34
32.4	53
33.9	31
35.2	35
35.4	24
44.5	29

=====

Entry 10:
# MgUBiO6
Theoretical powder XRD pattern, copper Kα. Input: a cell relaxed with GGA-PBE.
Neutral-atom scattering factors, no anomalous dispersion.

Cell and atoms:
```
data_MgUBiO6
_cell_length_a 5.4702
_cell_length_b 5.4702
_cell_length_c 9.6688
_cell_angle_alpha 90.00
_cell_angle_beta 90.00
_cell_angle_gamma 120.00
_symmetry_space_group_name_H-M 'P -3 1 c'
_symmetry_Int_Tables_number 163
_symmetry_space_group_name_Hall '-P 3 2c'
loop_
_atom_site_label
_atom_site_fract_x
_atom_site_fract_y
_atom_site_fract_z
Mg1 0.3333 0.6667 0.2500
U1 0.3333 0.6667 0.7500
Bi1 0.0000 0.0000 0.0000
O1 0.0051 0.3509 0.6357
```

Largest 10 diffraction maxima, low angle first, 2θ = 10–80°:
2θ/deg	I (rel.)
20.9	47
26.3	100
32.7	43
33.6	15
42.5	28
50.4	40
54.7	28
58.4	15
60.7	10
74.9	11